Computed powder X-ray diffraction pattern of Er4ScTe2 for Cu Kα, from DFT lattice parameters and positions (PBE).
No peak broadening, texture or thermal motion is included.

Most intense lines, 2θ = 10–90°, most intense first:
Position (°2θ)	I_rel
33.9	100
32.9	97
26.4	89
48.7	61
60.1	28
56.2	26
48.0	24
23.8	20
81.4	20
60.7	17

Crystal structure
Lattice parameters (Å, degrees): 5.285 5.285 15.885 90.00 90.00 90.00
Sites, in units of the cell vectors:
Er  0.000  0.000  0.181
Er  0.000  0.000  0.819
Er  0.000  0.500  0.000
Er  0.000  0.500  0.500
Er  0.500  0.000  0.000
Er  0.500  0.000  0.500
Er  0.500  0.500  0.319
Er  0.500  0.500  0.681
Sc  0.000  0.000  0.000
Sc  0.500  0.500  0.500
Te  0.000  0.000  0.366
Te  0.000  0.000  0.634
Te  0.500  0.500  0.134
Te  0.500  0.500  0.866

Computed powder X-ray diffraction pattern of Er6ScTe8 for Cu Kα, from DFT lattice parameters and positions (PBE).
No peak broadening, texture or thermal motion is included.

Most intense lines, 2θ = 10–90°, most intense first:
Position (°2θ)	I_rel
29.4	100
42.1	76
69.1	34
52.2	27
76.9	25
61.0	13
14.6	10
20.7	9
33.0	6
36.2	5

Crystal structure
Lattice parameters (Å, degrees): 8.592 8.592 8.592 60.00 60.00 60.00
Sites, in units of the cell vectors:
Er  0.000  0.000  0.500
Er  0.000  0.500  0.000
Er  0.000  0.500  0.500
Er  0.500  0.000  0.000
Er  0.500  0.000  0.500
Er  0.500  0.500  0.000
Sc  0.000  0.000  0.000
Te  0.249  0.249  0.751
Te  0.249  0.751  0.249
Te  0.249  0.751  0.751
Te  0.250  0.250  0.250
Te  0.750  0.750  0.750
Te  0.751  0.249  0.249
Te  0.751  0.249  0.751
Te  0.751  0.751  0.249

Computed powder X-ray diffraction pattern of Er2TmScTe6 for Cu Kα, from DFT lattice parameters and positions (PBE).
No peak broadening, texture or thermal motion is included.

Most intense lines, 2θ = 10–90°, most intense first:
Position (°2θ)	I_rel
27.0	100
35.3	91
41.5	59
16.1	32
55.6	24
46.3	22
21.9	22
71.7	21
69.6	20
50.2	16

Crystal structure
Lattice parameters (Å, degrees): 8.149 8.149 8.149 55.11 55.11 55.11
Sites, in units of the cell vectors:
Er  0.000  0.000  0.000
Er  0.499  0.499  0.499
Tm  0.183  0.183  0.183
Sc  0.682  0.682  0.682
Te  0.077  0.420  0.779
Te  0.286  0.909  0.588
Te  0.420  0.779  0.077
Te  0.588  0.286  0.909
Te  0.779  0.077  0.420
Te  0.909  0.588  0.286

Computed powder X-ray diffraction pattern of Er4Th3Sc for Cu Kα, from DFT lattice parameters and positions (PBE).
No peak broadening, texture or thermal motion is included.

Most intense lines, 2θ = 10–90°, most intense first:
Position (°2θ)	I_rel
33.2	100
31.5	26
29.1	24
61.7	22
57.2	21
51.6	19
43.4	17
62.8	16
85.4	9
80.6	8

Crystal structure
Lattice parameters (Å, degrees): 11.365 7.079 6.139 90.00 90.00 90.00
Sites, in units of the cell vectors:
Er  0.000  0.130  0.000
Er  0.000  0.867  0.506
Er  0.245  0.127  0.345
Er  0.255  0.873  0.845
Er  0.500  0.133  0.006
Er  0.500  0.870  0.500
Er  0.745  0.873  0.845
Er  0.755  0.127  0.345
Th  0.000  0.625  0.007
Th  0.249  0.613  0.332
Th  0.251  0.387  0.832
Th  0.500  0.375  0.507
Th  0.749  0.387  0.832
Th  0.751  0.613  0.332
Sc  0.000  0.376  0.512
Sc  0.500  0.624  0.012

Computed powder X-ray diffraction pattern of Er2Th3Sc4 for Cu Kα, from DFT lattice parameters and positions (PBE).
No peak broadening, texture or thermal motion is included.

Most intense lines, 2θ = 10–90°, most intense first:
Position (°2θ)	I_rel
35.0	100
31.9	85
33.2	71
10.5	71
63.4	49
30.0	48
53.3	47
30.8	34
44.3	31
59.9	26

Crystal structure
Lattice parameters (Å, degrees): 3.440 3.440 25.269 90.00 90.00 120.00
Sites, in units of the cell vectors:
Er  0.000  0.000  0.000
Er  0.000  0.000  0.231
Th  0.000  0.000  0.784
Th  0.333  0.667  0.119
Th  0.333  0.667  0.462
Sc  0.000  0.000  0.355
Sc  0.000  0.000  0.574
Sc  0.333  0.667  0.674
Sc  0.333  0.667  0.894

Computed powder X-ray diffraction pattern of Er3Th3Sc5 for Cu Kα, from DFT lattice parameters and positions (PBE).
No peak broadening, texture or thermal motion is included.

Most intense lines, 2θ = 10–90°, most intense first:
Position (°2θ)	I_rel
33.2	100
33.4	99
34.0	97
34.1	89
21.1	65
34.7	56
34.5	55
26.6	51
18.2	51
31.9	48

Crystal structure
Lattice parameters (Å, degrees): 6.205 6.609 8.304 107.23 97.20 100.02
Sites, in units of the cell vectors:
Er  0.000  0.000  0.000
Er  0.202  0.174  0.526
Er  0.455  0.919  0.210
Th  0.531  0.174  0.913
Th  0.743  0.369  0.510
Th  0.884  0.630  0.236
Sc  0.064  0.457  0.888
Sc  0.195  0.722  0.624
Sc  0.355  0.448  0.263
Sc  0.568  0.630  0.854
Sc  0.710  0.885  0.587

Computed powder X-ray diffraction pattern of Er7ThSc2 for Cu Kα, from DFT lattice parameters and positions (PBE).
No peak broadening, texture or thermal motion is included.

Most intense lines, 2θ = 10–90°, most intense first:
Position (°2θ)	I_rel
35.7	100
35.1	100
31.1	89
28.4	84
32.9	70
45.9	62
11.7	62
26.3	57
20.1	37
65.8	32

Crystal structure
Lattice parameters (Å, degrees): 8.819 8.819 5.452 90.00 90.00 121.18
Sites, in units of the cell vectors:
Er  0.000  0.000  0.000
Er  0.204  0.440  0.000
Er  0.275  0.725  0.500
Er  0.440  0.204  0.000
Er  0.560  0.796  0.000
Er  0.725  0.275  0.500
Er  0.796  0.560  0.000
Th  0.500  0.500  0.500
Sc  0.202  0.798  0.000
Sc  0.798  0.202  0.000

Computed powder X-ray diffraction pattern of Er3ThSc7 for Cu Kα, from DFT lattice parameters and positions (PBE).
No peak broadening, texture or thermal motion is included.

Most intense lines, 2θ = 10–90°, most intense first:
Position (°2θ)	I_rel
33.1	100
38.3	64
15.5	47
32.6	32
18.9	29
54.9	24
65.9	24
29.1	22
10.7	22
55.5	20

Crystal structure
Lattice parameters (Å, degrees): 6.618 6.618 8.244 90.00 90.00 120.00
Sites, in units of the cell vectors:
Er  0.000  0.500  0.000
Er  0.500  0.000  0.000
Er  0.500  0.500  0.000
Th  0.333  0.667  0.657
Sc  0.168  0.336  0.339
Sc  0.168  0.832  0.339
Sc  0.334  0.167  0.654
Sc  0.664  0.832  0.339
Sc  0.667  0.333  0.335
Sc  0.833  0.167  0.654
Sc  0.833  0.666  0.654

Computed powder X-ray diffraction pattern of Er2Th2Sc5 for Cu Kα, from DFT lattice parameters and positions (PBE).
No peak broadening, texture or thermal motion is included.

Most intense lines, 2θ = 10–90°, most intense first:
Position (°2θ)	I_rel
16.2	100
33.1	95
33.7	66
26.9	55
30.7	53
32.7	53
32.3	48
29.2	46
34.0	38
29.0	32

Crystal structure
Lattice parameters (Å, degrees): 3.462 8.371 8.867 100.97 90.00 90.53
Sites, in units of the cell vectors:
Er  0.231  0.355  0.124
Er  0.769  0.645  0.876
Th  0.241  0.861  0.592
Th  0.759  0.139  0.408
Sc  0.228  0.293  0.729
Sc  0.258  0.944  0.120
Sc  0.500  0.500  0.500
Sc  0.742  0.056  0.880
Sc  0.772  0.707  0.271

Computed powder X-ray diffraction pattern of Er2Th3Sc6 for Cu Kα, from DFT lattice parameters and positions (PBE).
No peak broadening, texture or thermal motion is included.

Most intense lines, 2θ = 10–90°, most intense first:
Position (°2θ)	I_rel
32.2	100
37.8	66
16.7	51
30.7	38
33.7	30
64.8	26
53.6	24
55.5	22
41.6	17
56.5	15

Crystal structure
Lattice parameters (Å, degrees): 5.927 5.927 10.831 95.24 95.24 120.03
Sites, in units of the cell vectors:
Er  0.166  0.834  0.000
Er  0.834  0.166  0.000
Th  0.000  0.000  0.500
Th  0.334  0.666  0.500
Th  0.666  0.334  0.500
Sc  0.086  0.416  0.748
Sc  0.254  0.254  0.252
Sc  0.416  0.086  0.748
Sc  0.584  0.914  0.252
Sc  0.746  0.746  0.748
Sc  0.914  0.584  0.252

Computed powder X-ray diffraction pattern of ErTh5Sc5 for Cu Kα, from DFT lattice parameters and positions (PBE).
No peak broadening, texture or thermal motion is included.

Most intense lines, 2θ = 10–90°, most intense first:
Position (°2θ)	I_rel
34.8	100
22.2	80
31.4	47
26.5	38
31.8	24
41.5	24
58.1	23
45.3	18
29.5	17
29.6	14

Crystal structure
Lattice parameters (Å, degrees): 9.528 9.528 9.528 145.17 138.60 55.18
Sites, in units of the cell vectors:
Er  0.000  0.000  0.000
Th  0.179  0.679  0.500
Th  0.366  0.366  0.000
Th  0.500  0.000  0.500
Th  0.634  0.634  0.000
Th  0.821  0.321  0.500
Sc  0.000  0.500  0.500
Sc  0.078  0.831  0.246
Sc  0.415  0.169  0.246
Sc  0.585  0.831  0.754
Sc  0.922  0.169  0.754

Computed powder X-ray diffraction pattern of ErTh4Sc for Cu Kα, from DFT lattice parameters and positions (PBE).
No peak broadening, texture or thermal motion is included.

Most intense lines, 2θ = 10–90°, most intense first:
Position (°2θ)	I_rel
31.2	100
36.0	34
52.2	24
36.6	17
61.7	15
61.8	14
62.5	14
19.9	7
65.2	7
65.0	6

Crystal structure
Lattice parameters (Å, degrees): 3.534 4.916 10.565 90.00 90.00 90.00
Sites, in units of the cell vectors:
Er  0.000  0.000  0.000
Th  0.000  0.000  0.340
Th  0.000  0.000  0.660
Th  0.500  0.500  0.171
Th  0.500  0.500  0.829
Sc  0.500  0.500  0.500